Calculated X-ray powder pattern of La2ScAlO6 for Cu Ka, from a PBE-relaxed structure.
Kinematic intensities with the Lorentz-polarization factor, no thermal factor.

Most intense lines, 2θ from 10° to 90°, most intense first:
(1 1 1), 31.98°, rel. 100
(0 0 2), 22.49°, rel. 55
(1 1 -3), 32.09°, rel. 51
(0 0 4), 45.91°, rel. 46
(2 0 0), 39.44°, rel. 33
(2 0 2), 56.97°, rel. 25
(0 2 4), 57.06°, rel. 20
(3 1 -5), 57.25°, rel. 17
(3 1 -3), 51.78°, rel. 13
(4 0 -4), 67.08°, rel. 12
(2 2 2), 66.82°, rel. 12
(1 1 -7), 76.25°, rel. 11

Cell and atoms:
Cell lengths 5.5852, 5.5964, 9.6521 Å; angles 90.00, 125.01, 90.00 degrees
Sites, in units of the cell vectors:
La 0.2415 0.0284 0.2491
La 0.2415 0.4716 0.7491
La 0.7585 0.5284 0.2509
La 0.7585 0.9716 0.7509
Sc 0.5000 0.0000 0.0000
Sc 0.5000 0.5000 0.5000
Al 0.0000 0.0000 0.5000
Al 0.0000 0.5000 0.0000
O 0.1656 0.2275 0.9576
O 0.1656 0.2725 0.4576
O 0.2275 0.7091 0.9582
O 0.2275 0.7909 0.4582
O 0.3182 0.0158 0.7395
O 0.3182 0.4842 0.2395
O 0.6818 0.5158 0.7605
O 0.6818 0.9842 0.2605
O 0.7725 0.2091 0.5418
O 0.7725 0.2909 0.0418
O 0.8344 0.7275 0.5424
O 0.8344 0.7725 0.0424